Structure and calculated X-ray diffraction stick pattern of Ca11Pb2N10 (a GGA-PBE-relaxed structure; Cu Kα (weighted mean of Kα1 and Kα2)).
Peak positions follow from Bragg's law for the DFT cell and can differ from measured ones.

Atomic structure:
a b c (Å): 15.821 15.821 3.647
angles (deg): 90.00 90.00 90.00
Space group P4_2/mnm (No. 136)
One atom of each set of equivalent atoms:
Ca  0.000  0.000  0.000 x2
Ca  0.019  0.231  0.500 x8
Ca  0.102  0.620  0.000 x8
Ca  0.209  0.209  0.000 x4
Pb  0.138  0.862  0.000 x4
N  0.047  0.328  0.000 x8
N  0.074  0.074  0.500 x4
N  0.132  0.132  0.500 x4
N  0.232  0.768  0.000 x4

Main lines, in order of rising 2θ (15° ≤ 2θ ≤ 90°):
d [Å]  2theta  I (rel.)  index
4.388  20.24  28  3 2 0
3.955  22.48  25  4 0 0
3.729  23.86  28  3 3 0
3.467  25.69  31  1 1 1
3.055  29.23  25  2 2 1
2.999  29.79  30  3 0 1
2.943  30.37  93  5 2 0
2.800  31.97  100  4 4 0
2.643  33.92  32  4 1 1
2.602  34.46  36  6 1 0
2.363  38.08  25  5 1 1
1.907  47.69  24  5 5 1

=====

Structure and calculated X-ray diffraction stick pattern of CaZnGe2O6 (a GGA-PBE-relaxed structure; Cu Kα (weighted mean of Kα1 and Kα2)).
Peak positions follow from Bragg's law for the DFT cell and can differ from measured ones.

Atomic structure:
a b c (Å): 10.318 9.111 5.513
angles (deg): 90.00 105.51 90.00
Space group C2/c (No. 15)
One atom of each set of equivalent atoms:
Ca  0.000  0.197  0.250 x4
Zn  0.000  0.407  0.750 x4
Ge  0.216  0.098  0.774 x8
O  0.108  0.407  0.134 x8
O  0.136  0.261  0.655 x8
O  0.141  0.030  0.016 x8

Main lines, in order of rising 2θ (15° ≤ 2θ ≤ 90°):
d [Å]  2theta  I (rel.)  index
3.458  25.76  13  0 2 1
3.115  28.66  41  3 1 0
3.103  28.77  100  2 2 -1
2.656  33.74  45  0 0 2
2.634  34.04  100  2 2 1
2.331  38.63  18  3 1 -2
1.699  53.97  35  5 3 -1
1.613  57.12  14  4 0 2
1.567  58.93  15  1 3 -3
1.495  62.08  17  5 3 1
1.454  64.05  16  3 5 -2
1.403  66.66  19  7 1 -2

=====

Structure and calculated X-ray diffraction stick pattern of CeIn3Pt (a GGA-PBE-relaxed structure; Cu Kα (weighted mean of Kα1 and Kα2)).
Peak positions follow from Bragg's law for the DFT cell and can differ from measured ones.

Atomic structure:
a b c (Å): 9.838 9.838 9.838
angles (deg): 90.00 90.00 90.00
Space group Pm-3n (No. 223)
One atom of each set of equivalent atoms:
Ce  0.000  0.000  0.000 x2
Ce  0.000  0.250  0.500 x6
In  0.000  0.319  0.152 x24
Pt  0.250  0.250  0.250 x8

Main lines, in order of rising 2θ (15° ≤ 2θ ≤ 90°):
d [Å]  2theta  I (rel.)  index
4.919  18.03  23  2 0 0
3.478  25.61  15  2 2 0
2.840  31.50  19  2 2 2
2.728  32.82  100  3 2 0
2.629  34.10  46  3 2 1
2.459  36.54  32  4 0 0
2.386  37.70  15  4 1 0
2.200  41.03  34  4 2 0
2.008  45.15  50  4 2 2
1.596  57.77  14  5 3 2
1.483  62.64  27  6 2 2
1.159  83.36  18  6 6 0

=====

Structure and calculated X-ray diffraction stick pattern of MgTi2O2F4 (a GGA-PBE-relaxed structure; Cu Kα (weighted mean of Kα1 and Kα2)).
Peak positions follow from Bragg's law for the DFT cell and can differ from measured ones.

Atomic structure:
a b c (Å): 3.890 3.890 8.005
angles (deg): 90.00 90.00 90.00
Space group P-4m2 (No. 115)
One atom of each set of equivalent atoms:
Mg  0.000  0.000  0.000 x1
Ti  0.500  0.500  0.252 x2
O  0.000  0.500  0.185 x2
F  0.000  0.500  0.764 x2
F  0.500  0.500  0.000 x1
F  0.500  0.500  0.500 x1

Main lines, in order of rising 2θ (15° ≤ 2θ ≤ 90°):
d [Å]  2theta  I (rel.)  index
4.002  22.21  38  0 0 2
3.890  22.86  100  1 0 0
2.789  32.09  45  1 0 2
2.750  32.56  24  1 1 0
2.001  45.32  22  0 0 4
1.945  46.71  55  2 0 0
1.779  51.35  18  1 0 4
1.740  52.61  16  2 1 0
1.618  56.90  17  1 1 4
1.595  57.79  16  2 1 2
1.395  67.11  22  2 0 4
1.375  68.19  14  2 2 0

=====

Structure and calculated X-ray diffraction stick pattern of CeMg6C (a GGA-PBE-relaxed structure; Cu Kα (weighted mean of Kα1 and Kα2)).
Peak positions follow from Bragg's law for the DFT cell and can differ from measured ones.

Atomic structure:
a b c (Å): 4.924 5.579 12.982
angles (deg): 90.00 90.00 90.00
Space group Amm2 (No. 38)
One atom of each set of equivalent atoms:
Ce  0.000  0.000  0.000 x2
Mg  0.000  0.246  0.259 x4
Mg  0.500  0.000  0.161 x2
Mg  0.500  0.000  0.604 x2
Mg  0.500  0.244  0.386 x4
C  0.000  0.000  0.412 x2

Main lines, in order of rising 2θ (15° ≤ 2θ ≤ 90°):
d [Å]  2theta  I (rel.)  index
5.126  17.30  94  0 1 1
4.924  18.02  29  1 0 0
3.551  25.08  100  1 1 1
3.419  26.06  38  0 1 3
2.809  31.86  72  1 1 3
2.710  33.06  97  1 0 4
2.563  35.01  48  0 2 2
2.462  36.50  46  2 0 0
2.354  38.23  30  0 1 5
2.273  39.64  84  1 2 2
1.776  51.47  31  2 2 2
1.615  57.04  31  1 2 6